The following is a computed PXRD pattern of Ca2P4Ru. It was derived from a GGA-PBE-relaxed structure, using Cu Kα, 1.54184 Å.
Neutral-atom scattering factors, no anomalous dispersion.

Main lines, in order of rising 2θ (15° ≤ 2θ ≤ 90°):
Position (°2θ)	intensity
29.80	100
31.26	52
35.46	75
38.88	49
46.98	43
49.72	56

Crystal structure
Lattice parameters (Å, degrees): 7.5982 5.9956 5.9982 90.00 91.86 90.00
Element x y z (fractional)
Ca1 0.1726 0.0049 0.2695
Ca2 0.1726 0.4951 0.7695
Ca3 0.8274 0.5049 0.2305
Ca4 0.8274 0.9951 0.7305
P1 0.2134 0.5037 0.2685
P2 0.2134 0.9963 0.7685
P3 0.4609 0.6345 0.1301
P4 0.4609 0.8655 0.6301
P5 0.5391 0.1345 0.3699
P6 0.5391 0.3655 0.8699
P7 0.7866 0.0037 0.2315
P8 0.7866 0.4963 0.7315
Ru1 0.5000 0.0000 0.0000
Ru2 0.5000 0.5000 0.5000

The following is a computed PXRD pattern of La7Y12Sc. It was derived from a GGA-PBE-relaxed structure, using Cu Kα, 1.54184 Å.
Neutral-atom scattering factors, no anomalous dispersion.

Main lines, in order of rising 2θ (15° ≤ 2θ ≤ 90°):
Position (°2θ)	intensity
29.32	25
30.79	30
31.15	100
33.55	17
33.88	18
49.15	16

Crystal structure
Lattice parameters (Å, degrees): 8.9169 8.9169 8.9169 99.59 99.59 99.59
Element x y z (fractional)
La1 0.0000 0.0000 0.0000
La2 0.1617 0.5922 0.5922
La3 0.4078 0.4078 0.8383
La4 0.4078 0.8383 0.4078
La5 0.5922 0.1617 0.5922
La6 0.5922 0.5922 0.1617
La7 0.8383 0.4078 0.4078
Y1 0.0000 0.2591 0.7409
Y2 0.0000 0.7409 0.2591
Y3 0.1481 0.1481 0.4145
Y4 0.1481 0.4145 0.1481
Y5 0.2591 0.0000 0.7409
Y6 0.2591 0.7409 0.0000
Y7 0.4145 0.1481 0.1481
Y8 0.5855 0.8519 0.8519
Y9 0.7409 0.0000 0.2591
Y10 0.7409 0.2591 0.0000
Y11 0.8519 0.5855 0.8519
Y12 0.8519 0.8519 0.5855
Sc1 0.5000 0.5000 0.5000

The following is a computed PXRD pattern of Ti2GaTc2. It was derived from a GGA-PBE-relaxed structure, using Cu Kα, 1.54184 Å.
Neutral-atom scattering factors, no anomalous dispersion.

Main lines, in order of rising 2θ (15° ≤ 2θ ≤ 90°):
Position (°2θ)	intensity
39.18	69
39.66	100
40.80	32
45.56	34
51.23	25
78.75	25

Crystal structure
Lattice parameters (Å, degrees): 3.9821 13.8389 2.8759 90.00 90.00 90.00
Element x y z (fractional)
Ti1 0.0000 0.1097 0.0000
Ti2 0.0000 0.8903 0.0000
Ti3 0.5000 0.3903 0.0000
Ti4 0.5000 0.6097 0.0000
Ga1 0.0000 0.5000 0.5000
Ga2 0.5000 0.0000 0.5000
Tc1 0.0000 0.3014 0.5000
Tc2 0.0000 0.6986 0.5000
Tc3 0.5000 0.1986 0.5000
Tc4 0.5000 0.8014 0.5000

The following is a computed PXRD pattern of Sr4LiAu. It was derived from a GGA-PBE-relaxed structure, using Cu Kα, 1.54184 Å.
Neutral-atom scattering factors, no anomalous dispersion.

Main lines, in order of rising 2θ (15° ≤ 2θ ≤ 90°):
Position (°2θ)	intensity
27.40	50
29.61	62
30.50	100
30.72	69
31.06	53
34.08	50

Crystal structure
Lattice parameters (Å, degrees): 9.2047 9.2047 7.3008 106.55 106.55 111.38
Element x y z (fractional)
Sr1 0.0573 0.7119 0.9144
Sr2 0.2210 0.3529 0.7028
Sr3 0.2881 0.9427 0.5856
Sr4 0.3529 0.2210 0.2028
Sr5 0.6471 0.7790 0.7972
Sr6 0.7119 0.0573 0.4144
Sr7 0.7790 0.6471 0.2972
Sr8 0.9427 0.2881 0.0856
Li1 0.3671 0.6329 0.2500
Li2 0.6329 0.3671 0.7500
Au1 0.0007 0.9993 0.7500
Au2 0.9993 0.0007 0.2500

The following is a computed PXRD pattern of ThAl10Tc2. It was derived from a GGA-PBE-relaxed structure, using Cu Kα, 1.54184 Å.
Neutral-atom scattering factors, no anomalous dispersion.

Main lines, in order of rising 2θ (15° ≤ 2θ ≤ 90°):
Position (°2θ)	intensity
16.06	54
27.36	61
27.69	45
33.79	43
39.25	81
39.90	100

Crystal structure
Lattice parameters (Å, degrees): 6.9226 6.9226 9.2647 90.00 90.00 97.00
Element x y z (fractional)
Th1 0.1273 0.8727 0.7500
Th2 0.8727 0.1273 0.2500
Al1 0.1385 0.4052 0.7500
Al2 0.1583 0.8417 0.1004
Al3 0.1583 0.8417 0.3996
Al4 0.2180 0.4792 0.2500
Al5 0.2281 0.2281 0.0000
Al6 0.2281 0.2281 0.5000
Al7 0.3777 0.6223 0.5440
Al8 0.3777 0.6223 0.9560
Al9 0.4052 0.1385 0.2500
Al10 0.4792 0.2180 0.7500
Al11 0.5208 0.7820 0.2500
Al12 0.5948 0.8615 0.7500
Al13 0.6223 0.3777 0.0440
Al14 0.6223 0.3777 0.4560
Al15 0.7719 0.7719 0.0000
Al16 0.7719 0.7719 0.5000
Al17 0.7820 0.5208 0.7500
Al18 0.8417 0.1583 0.6004
Al19 0.8417 0.1583 0.8996
Al20 0.8615 0.5948 0.2500
Tc1 0.0000 0.5000 0.0000
Tc2 0.0000 0.5000 0.5000
Tc3 0.5000 0.0000 0.0000
Tc4 0.5000 0.0000 0.5000

The following is a computed PXRD pattern of Tl12HgBi6. It was derived from a GGA-PBE-relaxed structure, using Cu Kα, 1.54184 Å.
Neutral-atom scattering factors, no anomalous dispersion.

Main lines, in order of rising 2θ (15° ≤ 2θ ≤ 90°):
Position (°2θ)	intensity
26.00	94
30.93	98
34.12	100
34.83	87
35.38	78
62.08	51

Crystal structure
Lattice parameters (Å, degrees): 9.3801 9.3801 9.3801 108.47 108.47 108.47
Element x y z (fractional)
Tl1 0.0000 0.3801 0.6199
Tl2 0.0000 0.6199 0.3801
Tl3 0.1880 0.1880 0.4440
Tl4 0.1880 0.4440 0.1880
Tl5 0.3801 0.0000 0.6199
Tl6 0.3801 0.6199 0.0000
Tl7 0.4440 0.1880 0.1880
Tl8 0.5560 0.8120 0.8120
Tl9 0.6199 0.0000 0.3801
Tl10 0.6199 0.3801 0.0000
Tl11 0.8120 0.5560 0.8120
Tl12 0.8120 0.8120 0.5560
Hg1 0.5000 0.5000 0.5000
Bi1 0.1713 0.8184 0.8184
Bi2 0.1816 0.1816 0.8287
Bi3 0.1816 0.8287 0.1816
Bi4 0.8184 0.1713 0.8184
Bi5 0.8184 0.8184 0.1713
Bi6 0.8287 0.1816 0.1816

Which formula does entry 5 have?
ThAl10Tc2